[1]
This entry pairs a crystal structure of Er12Co5Bi with its theoretical powder diffraction line list. Radiation: Cu Kα (weighted mean of Kα1 and Kα2). Structure: a cell relaxed with PBE.

Crystal structure
a b c (Å): 9.333 9.339 9.806
angles (deg): 90.00 90.00 90.00
Space group Immm (No. 71)
Symmetry-distinct sites (fractional):
Er 0.000 0.192 0.188 x8
Er 0.182 0.216 0.500 x8
Er 0.197 0.500 0.288 x8
Co 0.000 0.000 0.388 x4
Co 0.000 0.500 0.500 x2
Co 0.124 0.000 0.000 x4
Bi 0.000 0.500 0.000 x2

The 10 most intense peaks (10 to 90 degrees two-theta), low angle first:
h k l  2θ/deg  I/Imax
0 1 3  28.94  23
3 0 1  30.14  27
1 3 0  30.27  33
2 2 2  32.70  100
1 2 3  34.86  50
3 1 2  35.50  48
2 3 1  35.87  40
0 4 0  38.57  27
3 0 5  55.38  21
3 5 2  60.85  26

=====

[2]
This entry pairs a crystal structure of EuAs2Rh2 with its theoretical powder diffraction line list. Radiation: Cu Kα (weighted mean of Kα1 and Kα2). Structure: a cell relaxed with PBE.

Crystal structure
a b c (Å): 4.104 4.104 11.531
angles (deg): 90.00 90.00 90.00
Space group I4/mmm (No. 139)
Symmetry-distinct sites (fractional):
Eu 0.000 0.000 0.000 x2
As 0.000 0.000 0.371 x4
Rh 0.000 0.500 0.250 x4

The 10 most intense peaks (10 to 90 degrees two-theta), low angle first:
h k l  2θ/deg  I/Imax
1 0 3  31.90  72
1 1 2  34.60  100
2 0 0  44.14  53
1 1 4  44.29  18
1 0 5  45.09  23
2 1 3  55.48  29
1 1 6  57.52  27
2 2 0  64.19  17
3 1 2  75.02  21
2 0 8  81.63  17

=====

[3]
This entry pairs a crystal structure of MgU2O6 with its theoretical powder diffraction line list. Radiation: Cu Kα (weighted mean of Kα1 and Kα2). Structure: a cell relaxed with PBE.

Crystal structure
a b c (Å): 6.395 11.134 6.557
angles (deg): 90.00 109.55 90.00
Space group C2/c (No. 15)
Symmetry-distinct sites (fractional):
Mg 0.000 0.078 0.250 x4
U 0.000 0.246 0.750 x4
U 0.000 0.416 0.250 x4
O 0.115 0.414 0.621 x8
O 0.125 0.248 0.123 x8
O 0.135 0.084 0.633 x8

The 10 most intense peaks (10 to 90 degrees two-theta), low angle first:
h k l  2θ/deg  I/Imax
1 1 0  16.73  46
0 2 1  21.48  33
0 0 2  28.89  65
1 3 -1  29.40  100
2 0 0  29.65  49
1 3 1  34.06  43
1 3 -3  48.33  37
3 3 -1  49.30  34
3 3 -3  57.94  31
3 3 1  58.42  38

=====

[4]
This entry pairs a crystal structure of Ca2SnS4 with its theoretical powder diffraction line list. Radiation: Cu Kα (weighted mean of Kα1 and Kα2). Structure: a cell relaxed with PBE.

Crystal structure
a b c (Å): 8.014 8.014 11.544
angles (deg): 90.00 90.00 90.00
Space group P4_122 (No. 91)
Symmetry-distinct sites (fractional):
Ca 0.000 0.263 0.000 x4
Ca 0.244 0.244 0.375 x4
Sn 0.256 0.500 0.750 x4
S 0.037 0.269 0.754 x8
S 0.272 0.495 0.975 x8

The 10 most intense peaks (10 to 90 degrees two-theta), low angle first:
h k l  2θ/deg  I/Imax
1 0 0  11.04  37
1 0 1  13.45  86
1 1 1  17.43  44
1 0 3  25.68  46
2 1 1  26.03  100
0 0 4  30.99  39
2 2 0  31.57  75
3 2 1  41.37  46
2 2 4  44.83  90
4 0 0  45.26  44

=====

[5]
This entry pairs a crystal structure of Gd2B6Os with its theoretical powder diffraction line list. Radiation: Cu Kα (weighted mean of Kα1 and Kα2). Structure: a cell relaxed with PBE.

Crystal structure
a b c (Å): 9.146 11.566 3.786
angles (deg): 90.00 90.00 90.00
Space group Pbam (No. 55)
Symmetry-distinct sites (fractional):
Gd 0.055 0.127 0.000 x4
Gd 0.177 0.414 0.000 x4
B 0.014 0.288 0.500 x4
B 0.055 0.567 0.500 x4
B 0.112 0.968 0.500 x4
B 0.134 0.813 0.500 x4
B 0.208 0.233 0.500 x4
B 0.248 0.580 0.500 x4
Os 0.139 0.678 0.000 x4

The 10 most intense peaks (10 to 90 degrees two-theta), low angle first:
h k l  2θ/deg  I/Imax
0 0 1  23.50  100
3 1 0  30.32  58
1 4 0  32.48  28
3 2 0  33.22  21
3 1 1  38.71  74
0 4 1  39.20  25
1 4 1  40.47  36
3 2 1  41.09  28
3 3 1  44.83  21
0 0 2  48.06  22

=====

[6]
This entry pairs a crystal structure of Ti10Ga3Sb3 with its theoretical powder diffraction line list. Radiation: Cu Kα (weighted mean of Kα1 and Kα2). Structure: a cell relaxed with PBE.

Crystal structure
a b c (Å): 7.8602 7.8602 5.3261
angles (deg): 90.00 90.00 120.00
Space group P-62m (No. 189)
Symmetry-distinct sites (fractional):
Ti 0.0000 0.2483 0.0000 x3
Ti 0.0000 0.7568 0.5000 x3
Ti 0.3333 0.6667 0.2405 x4
Ga 0.0000 0.6132 0.0000 x3
Sb 0.0000 0.3945 0.5000 x3

The 10 most intense peaks (10 to 90 degrees two-theta), low angle first:
h k l  2θ/deg  I/Imax
1 0 0  13.01  21
1 1 0  22.62  19
1 1 1  28.22  42
0 0 2  33.65  31
2 1 1  38.87  100
3 0 0  39.72  51
1 1 2  40.94  68
3 1 1  51.35  32
2 1 3  63.68  22
5 0 2  78.98  19

=====

[7]
This entry pairs a crystal structure of Nb3Ni with its theoretical powder diffraction line list. Radiation: Cu Kα (weighted mean of Kα1 and Kα2). Structure: a cell relaxed with PBE.

Crystal structure
a b c (Å): 4.046 4.046 4.046
angles (deg): 90.00 90.00 90.00
Space group Pm-3m (No. 221)
Symmetry-distinct sites (fractional):
Nb 0.000 0.000 0.500 x3
Ni 0.500 0.500 0.500 x1

The 10 most intense peaks (10 to 90 degrees two-theta), low angle first:
h k l  2θ/deg  I/Imax
1 0 0  21.97  2
1 1 0  31.27  2
1 1 1  38.54  100
2 0 0  44.80  48
2 1 0  50.44  1
2 1 1  55.65  1
2 2 0  65.23  30
3 0 0  69.73  1
3 1 1  78.39  35
2 2 2  82.61  10

=====

[8]
This entry pairs a crystal structure of CsErZnSe3 with its theoretical powder diffraction line list. Radiation: Cu Kα (weighted mean of Kα1 and Kα2). Structure: a cell relaxed with PBE.

Crystal structure
a b c (Å): 4.160 16.291 10.947
angles (deg): 90.00 90.00 90.00
Space group Cmcm (No. 63)
Symmetry-distinct sites (fractional):
Cs 0.000 0.244 0.250 x4
Er 0.000 0.500 0.000 x4
Zn 0.000 0.037 0.750 x4
Se 0.000 0.115 0.558 x8
Se 0.000 0.444 0.750 x4

The 10 most intense peaks (10 to 90 degrees two-theta), low angle first:
h k l  2θ/deg  I/Imax
0 2 0  10.86  87
0 2 2  19.54  49
1 3 0  27.00  42
1 3 1  28.22  100
1 3 2  31.64  47
0 0 4  32.72  43
1 5 2  38.77  57
2 0 0  43.51  33
1 3 5  49.98  35
1 7 3  51.49  31

=====

[9]
This entry pairs a crystal structure of Pr3Hf with its theoretical powder diffraction line list. Radiation: Cu Kα (weighted mean of Kα1 and Kα2). Structure: a cell relaxed with PBE.

Crystal structure
a b c (Å): 5.051 5.051 9.953
angles (deg): 90.00 90.00 90.00
Space group I4/mmm (No. 139)
Symmetry-distinct sites (fractional):
Pr 0.000 0.000 0.000 x2
Pr 0.000 0.500 0.250 x4
Hf 0.000 0.000 0.500 x2

The 10 most intense peaks (10 to 90 degrees two-theta), low angle first:
h k l  2θ/deg  I/Imax
1 1 2  30.82  100
2 0 0  35.55  34
0 0 4  36.10  16
2 2 0  51.15  12
2 0 4  51.56  24
3 1 2  60.92  29
1 1 6  61.65  14
2 2 4  64.20  12
3 3 2  83.49  6
3 1 6  84.14  12

=====

[10]
This entry pairs a crystal structure of PrIO9 with its theoretical powder diffraction line list. Radiation: Cu Kα (weighted mean of Kα1 and Kα2). Structure: a cell relaxed with PBE.

Crystal structure
a b c (Å): 7.168 10.767 11.409
angles (deg): 90.00 128.39 90.00
Space group P2_1/c (No. 14)
Symmetry-distinct sites (fractional):
Pr 0.247 0.095 0.496 x4
I 0.040 0.680 0.793 x4
O 0.049 0.076 0.613 x4
O 0.089 0.065 0.862 x4
O 0.111 0.728 0.182 x4
O 0.164 0.697 0.437 x4
O 0.251 0.231 0.322 x4
O 0.332 0.589 0.907 x4
O 0.402 0.118 0.154 x4
O 0.474 0.024 0.243 x4
O 0.476 0.226 0.217 x4

The 10 most intense peaks (10 to 90 degrees two-theta), low angle first:
h k l  2θ/deg  I/Imax
0 1 1  12.87  100
1 0 0  15.77  26
1 0 -2  15.92  23
0 2 1  19.24  15
2 0 -2  24.84  61
0 2 2  25.90  20
1 2 1  28.71  47
1 2 -3  28.87  45
1 3 0  29.57  37
3 2 -1  46.10  14

=====

[11]
This entry pairs a crystal structure of Hf5CoP3 with its theoretical powder diffraction line list. Radiation: Cu Kα (weighted mean of Kα1 and Kα2). Structure: a cell relaxed with PBE.

Crystal structure
a b c (Å): 16.981 3.592 10.187
angles (deg): 90.00 90.00 90.00
Space group Pnma (No. 62)
Symmetry-distinct sites (fractional):
Hf 0.024 0.250 0.122 x4
Hf 0.076 0.750 0.562 x4
Hf 0.132 0.250 0.815 x4
Hf 0.168 0.750 0.254 x4
Hf 0.227 0.250 0.488 x4
Co 0.088 0.250 0.367 x4
P 0.009 0.750 0.311 x4
P 0.116 0.750 0.005 x4
P 0.218 0.750 0.685 x4

The 10 most intense peaks (10 to 90 degrees two-theta), low angle first:
h k l  2θ/deg  I/Imax
2 1 1  28.35  36
3 1 1  30.76  65
4 1 1  33.85  39
3 1 2  34.41  33
0 1 3  36.37  100
2 0 4  36.83  65
4 1 2  37.24  43
7 0 1  38.13  35
5 1 2  40.62  29
0 2 0  50.83  36

=====

Q: What is the formula in the fourth record?
A: Ca2SnS4

=====

Q: Number 6 is which compound?
A: Ti10Ga3Sb3

=====

Q: Number 5 is which compound?
A: Gd2B6Os